No. 1
Diffraction record for Li3Nd2SmPb3. The X-ray powder pattern is computed, not measured: it uses a structure optimized by DFT (GGA-PBE) and Cu Kα, 1.54184 Å.
Kinematic intensities with the Lorentz-polarization factor, no thermal factor.

Top 6 peaks for 2θ from 5° to 70°, low angle first:
d [Å], intensity
3.935, 45
3.375, 34
2.812, 100
2.422, 64
1.835, 29
1.493, 28

abc: 4.8435 4.8435 11.3719
angles: 90.00 90.00 120.00
Element x y z (fractional)
1 Li 0.0000 0.0000 0.0000
2 Li 0.3333 0.6667 0.3120
3 Li 0.3333 0.6667 0.6880
4 Nd 0.6667 0.3333 0.1652
5 Nd 0.6667 0.3333 0.8348
6 Sm 0.6667 0.3333 0.5000
7 Pb 0.0000 0.0000 0.3305
8 Pb 0.0000 0.0000 0.6695
9 Pb 0.3333 0.6667 0.0000

***

No. 2
Diffraction record for SrLi3Nd2Pb3. The X-ray powder pattern is computed, not measured: it uses a structure optimized by DFT (GGA-PBE) and Cu Kα, 1.54184 Å.
Kinematic intensities with the Lorentz-polarization factor, no thermal factor.

Top 6 peaks for 2θ from 5° to 70°, low angle first:
d [Å], intensity
3.994, 43
3.440, 63
2.876, 100
2.452, 71
1.866, 29
1.485, 28

abc: 4.9048 4.9048 11.7251
angles: 90.00 90.00 120.00
Element x y z (fractional)
1 Sr 0.0000 0.0000 0.0000
2 Li 0.3333 0.6667 0.5000
3 Li 0.6667 0.3333 0.1989
4 Li 0.6667 0.3333 0.8011
5 Nd 0.0000 0.0000 0.3363
6 Nd 0.0000 0.0000 0.6637
7 Pb 0.3333 0.6667 0.1922
8 Pb 0.3333 0.6667 0.8078
9 Pb 0.6667 0.3333 0.5000

***

No. 3
Diffraction record for Li3Tb2NdPb3. The X-ray powder pattern is computed, not measured: it uses a structure optimized by DFT (GGA-PBE) and Cu Kα, 1.54184 Å.
Kinematic intensities with the Lorentz-polarization factor, no thermal factor.

Top 6 peaks for 2θ from 5° to 70°, low angle first:
d [Å], intensity
3.885, 39
3.333, 41
2.777, 100
2.390, 64
1.812, 29
1.444, 28

abc: 4.7803 4.7803 11.2363
angles: 90.00 90.00 120.00
Element x y z (fractional)
1 Li 0.0000 0.0000 0.0000
2 Li 0.3333 0.6667 0.3026
3 Li 0.3333 0.6667 0.6974
4 Tb 0.6667 0.3333 0.1607
5 Tb 0.6667 0.3333 0.8393
6 Nd 0.6667 0.3333 0.5000
7 Pb 0.0000 0.0000 0.3197
8 Pb 0.0000 0.0000 0.6803
9 Pb 0.3333 0.6667 0.0000

***

No. 4
Diffraction record for Li3TbNd2Pb3. The X-ray powder pattern is computed, not measured: it uses a structure optimized by DFT (GGA-PBE) and Cu Kα, 1.54184 Å.
Kinematic intensities with the Lorentz-polarization factor, no thermal factor.

Top 6 peaks for 2θ from 5° to 70°, low angle first:
d [Å], intensity
3.934, 48
3.359, 30
2.787, 100
2.427, 65
1.830, 30
1.461, 29

abc: 4.8535 4.8535 11.1716
angles: 90.00 90.00 120.00
Element x y z (fractional)
1 Li 0.0000 0.0000 0.0000
2 Li 0.3333 0.6667 0.3160
3 Li 0.3333 0.6667 0.6840
4 Tb 0.6667 0.3333 0.5000
5 Nd 0.6667 0.3333 0.1680
6 Nd 0.6667 0.3333 0.8320
7 Pb 0.0000 0.0000 0.3358
8 Pb 0.0000 0.0000 0.6642
9 Pb 0.3333 0.6667 0.0000

***

No. 5
Diffraction record for Li3NdSm2Sn3. The X-ray powder pattern is computed, not measured: it uses a structure optimized by DFT (GGA-PBE) and Cu Kα, 1.54184 Å.
Kinematic intensities with the Lorentz-polarization factor, no thermal factor.

Top 6 peaks for 2θ from 5° to 70°, low angle first:
d [Å], intensity
4.118, 25
2.781, 100
2.378, 54
1.807, 29
1.477, 24
1.439, 27

abc: 4.7553 4.7553 11.3103
angles: 90.00 90.00 120.00
Element x y z (fractional)
1 Li 0.0000 0.0000 0.0000
2 Li 0.3333 0.6667 0.3092
3 Li 0.3333 0.6667 0.6908
4 Nd 0.6667 0.3333 0.5000
5 Sm 0.6667 0.3333 0.1634
6 Sm 0.6667 0.3333 0.8366
7 Sn 0.0000 0.0000 0.3252
8 Sn 0.0000 0.0000 0.6748
9 Sn 0.3333 0.6667 0.0000

***

No. 6
Diffraction record for SrLi3Nd2Sn3. The X-ray powder pattern is computed, not measured: it uses a structure optimized by DFT (GGA-PBE) and Cu Kα, 1.54184 Å.
Kinematic intensities with the Lorentz-polarization factor, no thermal factor.

Top 6 peaks for 2θ from 5° to 70°, low angle first:
d [Å], intensity
3.954, 23
3.408, 32
2.851, 100
2.427, 59
1.848, 28
1.470, 27

abc: 4.8545 4.8545 11.6390
angles: 90.00 90.00 120.00
Element x y z (fractional)
1 Sr 0.0000 0.0000 0.0000
2 Li 0.3333 0.6667 0.5000
3 Li 0.6667 0.3333 0.1990
4 Li 0.6667 0.3333 0.8010
5 Nd 0.0000 0.0000 0.3362
6 Nd 0.0000 0.0000 0.6638
7 Sn 0.3333 0.6667 0.1926
8 Sn 0.3333 0.6667 0.8074
9 Sn 0.6667 0.3333 0.5000

***

No. 7
Diffraction record for SrLiNd. The X-ray powder pattern is computed, not measured: it uses a structure optimized by DFT (GGA-PBE) and Cu Kα, 1.54184 Å.
Kinematic intensities with the Lorentz-polarization factor, no thermal factor.

Top 6 peaks for 2θ from 5° to 70°, low angle first:
d [Å], intensity
3.867, 100
2.735, 89
2.233, 30
1.934, 16
1.730, 41
1.579, 34

abc: 7.7348 7.7348 7.7348
angles: 90.00 90.00 90.00
Element x y z (fractional)
1 Sr 0.0000 0.0000 0.0000
2 Sr 0.0000 0.5000 0.5000
3 Sr 0.5000 0.0000 0.5000
4 Sr 0.5000 0.5000 0.0000
5 Li 0.2500 0.2500 0.7500
6 Li 0.2500 0.7500 0.2500
7 Li 0.7500 0.2500 0.2500
8 Li 0.7500 0.7500 0.7500
9 Nd 0.0000 0.0000 0.5000
10 Nd 0.0000 0.5000 0.0000
11 Nd 0.5000 0.0000 0.0000
12 Nd 0.5000 0.5000 0.5000

***

No. 8
Diffraction record for Li2Ni3. The X-ray powder pattern is computed, not measured: it uses a structure optimized by DFT (GGA-PBE) and Cu Kα, 1.54184 Å.
Kinematic intensities with the Lorentz-polarization factor, no thermal factor.

Top 6 peaks for 2θ from 5° to 70°, low angle first:
d [Å], intensity
3.792, 50
2.487, 15
2.321, 100
1.902, 21
1.892, 56
1.468, 23

abc: 5.0910 5.0910 5.0910
angles: 70.27 70.27 70.27
Element x y z (fractional)
1 Li 0.0874 0.0874 0.0874
2 Li 0.4126 0.4126 0.4126
3 Li 0.5874 0.5874 0.5874
4 Li 0.9126 0.9126 0.9126
5 Ni 0.0087 0.2500 0.4913
6 Ni 0.2500 0.4913 0.0087
7 Ni 0.4913 0.0087 0.2500
8 Ni 0.5087 0.9913 0.7500
9 Ni 0.7500 0.5087 0.9913
10 Ni 0.9913 0.7500 0.5087

***

No. 9
Diffraction record for Li3Ni. The X-ray powder pattern is computed, not measured: it uses a structure optimized by DFT (GGA-PBE) and Cu Kα, 1.54184 Å.
Kinematic intensities with the Lorentz-polarization factor, no thermal factor.

Top 6 peaks for 2θ from 5° to 70°, low angle first:
d [Å], intensity
3.719, 100
2.630, 80
2.147, 52
1.859, 25
1.663, 37
1.518, 26

abc: 3.7188 3.7188 3.7188
angles: 90.00 90.00 90.00
Element x y z (fractional)
1 Li 0.0000 0.0000 0.5000
2 Li 0.0000 0.5000 0.0000
3 Li 0.5000 0.0000 0.0000
4 Ni 0.5000 0.5000 0.5000

***

No. 10
Diffraction record for LiPrNiP2Pd. The X-ray powder pattern is computed, not measured: it uses a structure optimized by DFT (GGA-PBE) and Cu Kα, 1.54184 Å.
Kinematic intensities with the Lorentz-polarization factor, no thermal factor.

Top 6 peaks for 2θ from 5° to 70°, low angle first:
d [Å], intensity
3.123, 100
2.427, 68
2.227, 18
2.039, 51
1.707, 17
1.504, 30

abc: 4.0784 4.0784 6.6814
angles: 90.00 90.00 120.00
Element x y z (fractional)
1 Li 0.0000 0.0000 0.0000
2 Pr 0.0000 0.0000 0.4863
3 Ni 0.6667 0.3333 0.1472
4 P 0.3333 0.6667 0.2080
5 P 0.6667 0.3333 0.7759
6 Pd 0.3333 0.6667 0.8306

***

No. 11
Diffraction record for Li2Sc2NiPdPb2. The X-ray powder pattern is computed, not measured: it uses a structure optimized by DFT (GGA-PBE) and Cu Kα, 1.54184 Å.
Kinematic intensities with the Lorentz-polarization factor, no thermal factor.

Top 6 peaks for 2θ from 5° to 70°, low angle first:
d [Å], intensity
3.763, 66
3.259, 27
2.304, 100
1.968, 12
1.964, 24
1.495, 15

abc: 4.6037 4.6037 6.5301
angles: 90.00 90.00 90.00
Element x y z (fractional)
1 Li 0.0000 0.0000 0.0000
2 Li 0.5000 0.5000 0.5000
3 Sc 0.0000 0.5000 0.7433
4 Sc 0.5000 0.0000 0.2567
5 Ni 0.0000 0.0000 0.5000
6 Pd 0.5000 0.5000 0.0000
7 Pb 0.0000 0.5000 0.2588
8 Pb 0.5000 0.0000 0.7412

***

No. 12
Diffraction record for Li2Sc2NiPtPb2. The X-ray powder pattern is computed, not measured: it uses a structure optimized by DFT (GGA-PBE) and Cu Kα, 1.54184 Å.
Kinematic intensities with the Lorentz-polarization factor, no thermal factor.

Top 6 peaks for 2θ from 5° to 70°, low angle first:
d [Å], intensity
3.763, 100
2.308, 100
2.299, 50
1.973, 17
1.962, 36
1.625, 17

abc: 4.5972 4.5972 6.5525
angles: 90.00 90.00 90.00
Element x y z (fractional)
1 Li 0.0000 0.0000 0.0000
2 Li 0.5000 0.5000 0.5000
3 Sc 0.0000 0.5000 0.7490
4 Sc 0.5000 0.0000 0.2510
5 Ni 0.0000 0.0000 0.5000
6 Pt 0.5000 0.5000 0.0000
7 Pb 0.0000 0.5000 0.2644
8 Pb 0.5000 0.0000 0.7356

***

No. 13
Diffraction record for LiNiPd. The X-ray powder pattern is computed, not measured: it uses a structure optimized by DFT (GGA-PBE) and Cu Kα, 1.54184 Å.
Kinematic intensities with the Lorentz-polarization factor, no thermal factor.

Top 6 peaks for 2θ from 5° to 70°, low angle first:
d [Å], intensity
3.161, 13
2.737, 100
1.935, 80
1.651, 6
1.580, 24
1.369, 12

abc: 5.4744 5.4744 5.4744
angles: 90.00 90.00 90.00
Element x y z (fractional)
1 Li 0.0000 0.0000 0.0000
2 Li 0.0000 0.5000 0.5000
3 Li 0.5000 0.0000 0.5000
4 Li 0.5000 0.5000 0.0000
5 Ni 0.2500 0.2500 0.7500
6 Ni 0.2500 0.7500 0.2500
7 Ni 0.7500 0.2500 0.2500
8 Ni 0.7500 0.7500 0.7500
9 Pd 0.2500 0.2500 0.2500
10 Pd 0.2500 0.7500 0.7500
11 Pd 0.7500 0.2500 0.7500
12 Pd 0.7500 0.7500 0.2500

***

No. 14
Diffraction record for Li4SiNiPd2. The X-ray powder pattern is computed, not measured: it uses a structure optimized by DFT (GGA-PBE) and Cu Kα, 1.54184 Å.
Kinematic intensities with the Lorentz-polarization factor, no thermal factor.

Top 6 peaks for 2θ from 5° to 70°, low angle first:
d [Å], intensity
3.404, 100
2.089, 28
2.082, 54
1.780, 30
1.773, 14
1.351, 11

abc: 4.1773 4.1773 5.8728
angles: 90.00 90.00 90.00
Element x y z (fractional)
1 Li 0.0000 0.0000 0.0000
2 Li 0.0000 0.5000 0.2400
3 Li 0.5000 0.0000 0.7600
4 Li 0.5000 0.5000 0.5000
5 Si 0.0000 0.0000 0.5000
6 Ni 0.5000 0.5000 0.0000
7 Pd 0.0000 0.5000 0.7325
8 Pd 0.5000 0.0000 0.2675

***

No. 15
Diffraction record for Li4NiSn2Pd. The X-ray powder pattern is computed, not measured: it uses a structure optimized by DFT (GGA-PBE) and Cu Kα, 1.54184 Å.
Kinematic intensities with the Lorentz-polarization factor, no thermal factor.

Top 6 peaks for 2θ from 5° to 70°, low angle first:
d [Å], intensity
3.601, 100
2.205, 94
1.881, 49
1.561, 5
1.559, 11
1.431, 20

abc: 4.4082 4.4082 6.2440
angles: 90.00 90.00 90.00
Element x y z (fractional)
1 Li 0.0000 0.0000 0.0000
2 Li 0.0000 0.5000 0.2472
3 Li 0.5000 0.0000 0.7528
4 Li 0.5000 0.5000 0.5000
5 Ni 0.5000 0.5000 0.0000
6 Sn 0.0000 0.5000 0.7651
7 Sn 0.5000 0.0000 0.2349
8 Pd 0.0000 0.0000 0.5000